# 1
CdHCl3: simulated powder diffractogram (λ = 1.5418 Å (Cu Kα)), based on a PBE-relaxed structure.
No peak broadening, texture or thermal motion is included.

Structural model:
```
data_CdHCl3
_chemical_formula_sum 'Cd1 H1 Cl3'
_space_group_name_H-M_alt 'P m -3 m'
_space_group_IT_number 221
_space_group_name_Hall '-P 4 2 3'
_cell_length_a 5.218
_cell_length_b 5.218
_cell_length_c 5.218
_cell_angle_alpha 90.00
_cell_angle_beta 90.00
_cell_angle_gamma 90.00
loop_
_atom_site_label
_atom_site_type_symbol
_atom_site_fract_x
_atom_site_fract_y
_atom_site_fract_z
Cd1 Cd 0.000 0.000 0.000
H1 H 0.500 0.500 0.500
Cl1 Cl 0.000 0.000 0.500
```

Top 12 peaks for 10° ≤ 2θ ≤ 80°, sorted by position:
16.99 deg, I = 100, (1 0 0); 24.12 deg, I = 24, (1 1 0); 34.37 deg, I = 38, (2 0 0); 38.58 deg, I = 48, (2 1 0); 42.43 deg, I = 11, (2 1 1); 49.40 deg, I = 25, (2 2 0); 52.62 deg, I = 23, (3 0 0); 55.70 deg, I = 5, (3 1 0); 61.56 deg, I = 8, (2 2 2); 64.37 deg, I = 10, (3 2 0); 67.11 deg, I = 5, (3 2 1); 75.05 deg, I = 12, (4 1 0)



# 2
LiGaO2: simulated powder diffractogram (λ = 1.5418 Å (Cu Kα)), based on a PBE-relaxed structure.
No peak broadening, texture or thermal motion is included.

Structural model:
```
data_LiGaO2
_chemical_formula_sum 'Li4 Ga4 O8'
_space_group_name_H-M_alt 'P n a 21'
_space_group_IT_number 33
_cell_length_a 5.466
_cell_length_b 6.457
_cell_length_c 5.094
_cell_angle_alpha 90.00
_cell_angle_beta 90.00
_cell_angle_gamma 90.00
loop_
_space_group_symop_operation_xyz
'x,y,z'
'-x,-y,z+1/2'
'-x+1/2,y+1/2,z+1/2'
'x+1/2,-y+1/2,z'
loop_
_atom_site_label
_atom_site_type_symbol
_atom_site_fract_x
_atom_site_fract_y
_atom_site_fract_z
Li1 Li 0.082 0.124 0.000
Ga1 Ga 0.081 0.626 0.004
O1 O 0.069 0.612 0.372
O2 O 0.093 0.138 0.396
```

Top 12 peaks for 10° ≤ 2θ ≤ 80°, sorted by position:
21.30 deg, I = 83, (1 1 0); 22.23 deg, I = 100, (0 1 1); 27.64 deg, I = 26, (1 1 1); 32.20 deg, I = 44, (1 2 0); 32.77 deg, I = 25, (2 0 0); 35.24 deg, I = 44, (0 0 2); 36.83 deg, I = 55, (1 2 1); 37.34 deg, I = 25, (2 0 1); 41.54 deg, I = 23, (1 1 2); 58.13 deg, I = 29, (3 2 0); 64.28 deg, I = 27, (1 2 3); 69.83 deg, I = 21, (3 2 2)



# 3
Zr2N2O: simulated powder diffractogram (λ = 1.5418 Å (Cu Kα)), based on a PBE-relaxed structure.
No peak broadening, texture or thermal motion is included.

Structural model:
```
data_Zr2N2O
_chemical_formula_sum 'Zr16 N16 O8'
_space_group_name_H-M_alt 'P 1'
_space_group_IT_number 1
_cell_length_a 8.866
_cell_length_b 8.875
_cell_length_c 8.878
_cell_angle_alpha 109.45
_cell_angle_beta 109.46
_cell_angle_gamma 109.47
loop_
_space_group_symop_operation_xyz
'x,y,z'
loop_
_atom_site_label
_atom_site_type_symbol
_atom_site_fract_x
_atom_site_fract_y
_atom_site_fract_z
Zr1 Zr 0.000 0.000 0.000
Zr2 Zr 0.009 0.520 0.502
Zr3 Zr 0.045 0.225 0.749
Zr4 Zr 0.224 0.694 0.969
Zr5 Zr 0.253 0.966 0.704
Zr6 Zr 0.264 0.475 0.225
Zr7 Zr 0.286 0.259 0.465
Zr8 Zr 0.468 0.731 0.681
Zr9 Zr 0.499 0.436 0.929
Zr10 Zr 0.511 0.943 0.433
Zr11 Zr 0.533 0.227 0.262
Zr12 Zr 0.715 0.185 0.960
Zr13 Zr 0.740 0.966 0.212
Zr14 Zr 0.753 0.473 0.712
Zr15 Zr 0.784 0.757 0.458
Zr16 Zr 0.956 0.712 0.171
N1 N 0.030 0.739 0.442
N2 N 0.203 0.458 0.439
N3 N 0.241 0.201 0.670
N4 N 0.259 0.746 0.759
N5 N 0.283 0.232 0.198
N6 N 0.295 0.486 0.987
N7 N 0.481 0.940 0.172
N8 N 0.492 0.988 0.685
N9 N 0.514 0.205 0.492
N10 N 0.523 0.701 0.452
N11 N 0.707 0.703 0.180
N12 N 0.722 0.928 0.944
N13 N 0.744 0.508 0.479
N14 N 0.764 0.437 0.953
N15 N 0.791 0.025 0.490
N16 N 0.992 0.747 0.943
O1 O 0.015 0.968 0.752
O2 O 0.026 0.009 0.261
O3 O 0.217 0.712 0.228
O4 O 0.483 0.214 0.990
O5 O 0.526 0.519 0.728
O6 O 0.794 0.246 0.244
O7 O 0.976 0.243 0.971
O8 O 0.977 0.426 0.703
```

Top 12 peaks for 10° ≤ 2θ ≤ 80°, sorted by position:
21.24 deg, I = 13, (1 1 -2); 30.21 deg, I = 100, (-3 1 1); 35.03 deg, I = 28, (2 2 -2); 37.23 deg, I = 7, (-2 1 3); 41.32 deg, I = 6, (1 1 2); 45.11 deg, I = 10, (0 4 -1); 50.37 deg, I = 37, (0 4 0); 55.26 deg, I = 6, (3 3 -4); 58.35 deg, I = 4, (4 0 1); 59.86 deg, I = 22, (-5 3 3); 61.35 deg, I = 5, (1 5 -2); 62.83 deg, I = 5, (-6 2 2)



# 4
CsInS2O10: simulated powder diffractogram (λ = 1.5418 Å (Cu Kα)), based on a PBE-relaxed structure.
No peak broadening, texture or thermal motion is included.

Structural model:
```
data_CsInS2O10
_chemical_formula_sum 'Cs4 In4 S8 O40'
_space_group_name_H-M_alt 'C 1 2/c 1'
_space_group_IT_number 15
_cell_length_a 9.363
_cell_length_b 14.883
_cell_length_c 7.098
_cell_angle_alpha 90.00
_cell_angle_beta 106.97
_cell_angle_gamma 90.00
loop_
_space_group_symop_operation_xyz
'x,y,z'
'-x,-y,-z'
'-x,y,-z+1/2'
'x,-y,z+1/2'
'x+1/2,y+1/2,z'
'-x+1/2,-y+1/2,-z'
'-x+1/2,y+1/2,-z+1/2'
'x+1/2,-y+1/2,z+1/2'
loop_
_atom_site_label
_atom_site_type_symbol
_atom_site_fract_x
_atom_site_fract_y
_atom_site_fract_z
Cs1 Cs 0.000 0.110 0.250
In1 In 0.000 0.307 0.750
S1 S 0.244 0.356 0.187
O1 O 0.116 0.300 0.066
O2 O 0.116 0.417 0.654
O3 O 0.149 0.210 0.678
O4 O 0.183 0.096 0.941
O5 O 0.197 0.418 0.319
```

Top 12 peaks for 10° ≤ 2θ ≤ 80°, sorted by position:
11.89 deg, I = 26, (0 2 0); 15.11 deg, I = 21, (1 1 -1); 17.68 deg, I = 24, (0 2 1); 22.70 deg, I = 32, (1 3 -1); 23.61 deg, I = 100, (2 2 -1); 23.92 deg, I = 24, (0 4 0); 25.89 deg, I = 37, (1 3 1); 26.25 deg, I = 44, (0 0 2); 29.47 deg, I = 73, (2 2 1); 31.65 deg, I = 45, (1 5 0); 34.24 deg, I = 22, (3 3 -1); 45.74 deg, I = 22, (3 5 -2)



# 5
MgSnS3O12: simulated powder diffractogram (λ = 1.5418 Å (Cu Kα)), based on a PBE-relaxed structure.
No peak broadening, texture or thermal motion is included.

Structural model:
```
data_MgSnS3O12
_chemical_formula_sum 'Mg6 Sn6 S18 O72'
_space_group_name_H-M_alt 'R 3 c'
_space_group_IT_number 161
_space_group_name_Hall 'R 3 -2"c'
_cell_length_a 8.7010
_cell_length_b 8.7010
_cell_length_c 22.4604
_cell_angle_alpha 90.00
_cell_angle_beta 90.00
_cell_angle_gamma 120.00
loop_
_atom_site_label
_atom_site_type_symbol
_atom_site_fract_x
_atom_site_fract_y
_atom_site_fract_z
Mg1 Mg 0.0000 0.0000 0.0000
Sn1 Sn 0.0000 0.0000 0.2928
S1 S 0.0447 0.3731 0.0641
O1 O 0.0233 0.2000 0.0535
O2 O 0.0372 0.2163 0.3419
O3 O 0.1548 0.4590 0.1158
O4 O 0.1609 0.4688 0.4029
```

Top 12 peaks for 10° ≤ 2θ ≤ 80°, sorted by position:
14.15 deg, I = 100, (0 1 2); 19.72 deg, I = 65, (1 0 4); 20.41 deg, I = 28, (1 1 0); 23.65 deg, I = 94, (1 1 3); 24.93 deg, I = 16, (2 0 2); 28.53 deg, I = 49, (0 2 4); 31.53 deg, I = 56, (1 1 6); 32.43 deg, I = 17, (1 2 2); 35.34 deg, I = 18, (2 1 4); 35.75 deg, I = 21, (3 0 0); 48.40 deg, I = 21, (2 2 6); 51.84 deg, I = 21, (2 1 10)



# 6
ThAl2Fe3: simulated powder diffractogram (λ = 1.5418 Å (Cu Kα)), based on a PBE-relaxed structure.
No peak broadening, texture or thermal motion is included.

Structural model:
```
data_ThAl2Fe3
_chemical_formula_sum 'Th2 Al4 Fe6'
_space_group_name_H-M_alt 'C m m m'
_space_group_IT_number 65
_space_group_name_Hall '-C 2 2'
_cell_length_a 5.338
_cell_length_b 8.700
_cell_length_c 4.123
_cell_angle_alpha 90.00
_cell_angle_beta 90.00
_cell_angle_gamma 90.00
loop_
_atom_site_label
_atom_site_type_symbol
_atom_site_fract_x
_atom_site_fract_y
_atom_site_fract_z
Th1 Th 0.000 0.000 0.000
Al1 Al 0.250 0.250 0.500
Fe1 Fe 0.000 0.340 0.000
Fe2 Fe 0.000 0.500 0.500
```

Top 12 peaks for 10° ≤ 2θ ≤ 80°, sorted by position:
20.42 deg, I = 29, (0 2 0); 21.56 deg, I = 44, (0 0 1); 29.23 deg, I = 78, (1 1 1); 29.86 deg, I = 21, (0 2 1); 33.57 deg, I = 34, (2 0 0); 35.22 deg, I = 40, (1 3 0); 39.61 deg, I = 30, (2 2 0); 40.25 deg, I = 39, (2 0 1); 41.67 deg, I = 100, (1 3 1); 43.92 deg, I = 28, (0 0 2); 57.51 deg, I = 19, (1 3 2); 65.58 deg, I = 25, (3 3 1)



# 7
LiDy2O2F2: simulated powder diffractogram (λ = 1.5418 Å (Cu Kα)), based on a PBE-relaxed structure.
No peak broadening, texture or thermal motion is included.

Structural model:
```
data_LiDy2O2F2
_chemical_formula_sum 'Li3 Dy6 O6 F6'
_space_group_name_H-M_alt 'R -3 m'
_space_group_IT_number 166
_space_group_name_Hall '-R 3 2"'
_cell_length_a 3.9444
_cell_length_b 3.9444
_cell_length_c 19.0234
_cell_angle_alpha 90.00
_cell_angle_beta 90.00
_cell_angle_gamma 120.00
loop_
_atom_site_label
_atom_site_type_symbol
_atom_site_fract_x
_atom_site_fract_y
_atom_site_fract_z
Li1 Li 0.0000 0.0000 0.0000
Dy1 Dy 0.0000 0.0000 0.2317
O1 O 0.0000 0.0000 0.1072
F1 F 0.0000 0.0000 0.3617
```

Top 12 peaks for 10° ≤ 2θ ≤ 80°, sorted by position:
13.97 deg, I = 12, (0 0 3); 27.75 deg, I = 100, (0 1 2); 28.14 deg, I = 20, (0 0 6); 32.27 deg, I = 36, (1 0 4); 35.31 deg, I = 15, (0 1 5); 42.51 deg, I = 24, (1 0 7); 46.02 deg, I = 42, (1 1 0); 46.53 deg, I = 16, (0 1 8); 54.59 deg, I = 15, (2 0 2); 54.82 deg, I = 19, (1 1 6); 64.64 deg, I = 18, (1 1 9); 74.11 deg, I = 12, (1 2 2)